[1]
Eu4Zn51: simulated X-ray diffraction stick pattern (Cu Kα, 1.54184 Å), based on DFT lattice parameters and positions (PBE).
No peak broadening, texture or thermal motion is included.

Lattice parameters (Å, degrees): 14.804 14.804 14.804 33.80 33.80 33.80
Fractional coordinates of all 55 atoms:
Eu 0.125 0.125 0.125
Eu 0.375 0.375 0.375
Eu 0.625 0.625 0.625
Eu 0.875 0.875 0.875
Zn 0.000 0.000 0.000
Zn 0.021 0.419 0.780
Zn 0.031 0.668 0.271
Zn 0.039 0.401 0.159
Zn 0.082 0.719 0.479
Zn 0.093 0.849 0.210
Zn 0.100 0.341 0.460
Zn 0.151 0.790 0.907
Zn 0.159 0.039 0.401
Zn 0.176 0.765 0.530
Zn 0.210 0.093 0.849
Zn 0.220 0.979 0.581
Zn 0.235 0.470 0.824
Zn 0.250 0.250 0.250
Zn 0.271 0.031 0.668
Zn 0.281 0.521 0.918
Zn 0.295 0.412 0.646
Zn 0.332 0.729 0.969
Zn 0.341 0.460 0.100
Zn 0.354 0.705 0.588
Zn 0.401 0.159 0.039
Zn 0.412 0.646 0.295
Zn 0.419 0.780 0.021
Zn 0.460 0.100 0.341
Zn 0.470 0.824 0.235
Zn 0.479 0.082 0.719
Zn 0.521 0.918 0.281
Zn 0.530 0.176 0.765
Zn 0.540 0.900 0.659
Zn 0.581 0.220 0.979
Zn 0.588 0.354 0.705
Zn 0.599 0.841 0.961
Zn 0.646 0.295 0.412
Zn 0.659 0.540 0.900
Zn 0.668 0.271 0.031
Zn 0.705 0.588 0.354
Zn 0.719 0.479 0.082
Zn 0.729 0.969 0.332
Zn 0.750 0.750 0.750
Zn 0.765 0.530 0.176
Zn 0.780 0.021 0.419
Zn 0.790 0.907 0.151
Zn 0.824 0.235 0.470
Zn 0.841 0.961 0.599
Zn 0.849 0.210 0.093
Zn 0.900 0.659 0.540
Zn 0.907 0.151 0.790
Zn 0.918 0.281 0.521
Zn 0.961 0.599 0.841
Zn 0.969 0.332 0.729
Zn 0.979 0.581 0.220

The 8 most intense peaks (5° ≤ 2θ ≤ 70°), most intense first:
2theta, intensity
36.2, 100
44.0, 79
33.1, 44
32.9, 43
44.2, 39
44.3, 38
36.4, 33
44.8, 22

[2]
NaMg6V: simulated X-ray diffraction stick pattern (Cu Kα, 1.54184 Å), based on DFT lattice parameters and positions (PBE).
No peak broadening, texture or thermal motion is included.

Lattice parameters (Å, degrees): 5.151 6.579 10.825 90.00 90.00 90.00
Fractional coordinates of all 16 atoms:
Na 0.000 0.000 0.000
Na 0.000 0.500 0.500
Mg 0.000 0.248 0.249
Mg 0.000 0.252 0.749
Mg 0.000 0.748 0.749
Mg 0.000 0.752 0.249
Mg 0.500 0.000 0.336
Mg 0.500 0.000 0.827
Mg 0.500 0.236 0.577
Mg 0.500 0.264 0.077
Mg 0.500 0.500 0.327
Mg 0.500 0.500 0.836
Mg 0.500 0.736 0.077
Mg 0.500 0.764 0.577
V 0.000 0.000 0.501
V 0.000 0.500 0.001

The 8 most intense peaks (5° ≤ 2θ ≤ 70°), most intense first:
2theta, intensity
36.4, 100
37.5, 42
34.8, 37
31.8, 23
63.5, 18
69.8, 17
58.3, 15
47.9, 14

[3]
Pm2MgAl: simulated X-ray diffraction stick pattern (Cu Kα, 1.54184 Å), based on DFT lattice parameters and positions (PBE).
No peak broadening, texture or thermal motion is included.

Lattice parameters (Å, degrees): 7.540 7.540 7.540 90.00 90.00 90.00
Fractional coordinates of all 16 atoms:
Pm 0.250 0.250 0.250
Pm 0.250 0.250 0.750
Pm 0.250 0.750 0.250
Pm 0.250 0.750 0.750
Pm 0.750 0.250 0.250
Pm 0.750 0.250 0.750
Pm 0.750 0.750 0.250
Pm 0.750 0.750 0.750
Mg 0.000 0.000 0.000
Mg 0.000 0.500 0.500
Mg 0.500 0.000 0.500
Mg 0.500 0.500 0.000
Al 0.000 0.000 0.500
Al 0.000 0.500 0.000
Al 0.500 0.000 0.000
Al 0.500 0.500 0.500

The 6 most intense peaks (5° ≤ 2θ ≤ 70°), most intense first:
2theta, intensity
33.6, 100
23.6, 59
60.1, 37
54.4, 25
41.5, 18
48.3, 18

[4]
K2FeCuC12: simulated X-ray diffraction stick pattern (Cu Kα, 1.54184 Å), based on DFT lattice parameters and positions (PBE).
No peak broadening, texture or thermal motion is included.

Lattice parameters (Å, degrees): 7.145 7.145 7.145 60.00 60.00 60.00
Fractional coordinates of all 16 atoms:
K 0.250 0.250 0.250
K 0.750 0.750 0.750
Fe 0.000 0.000 0.000
Cu 0.500 0.500 0.500
C 0.189 0.189 0.811
C 0.189 0.811 0.189
C 0.189 0.811 0.811
C 0.312 0.312 0.688
C 0.312 0.688 0.312
C 0.312 0.688 0.688
C 0.688 0.312 0.312
C 0.688 0.312 0.688
C 0.688 0.688 0.312
C 0.811 0.189 0.189
C 0.811 0.189 0.811
C 0.811 0.811 0.189

The 8 most intense peaks (5° ≤ 2θ ≤ 70°), most intense first:
2theta, intensity
24.9, 100
35.5, 46
17.6, 39
57.7, 27
43.9, 27
69.6, 22
51.1, 21
39.9, 6

[5]
MgAl2Ge2: simulated X-ray diffraction stick pattern (Cu Kα, 1.54184 Å), based on DFT lattice parameters and positions (PBE).
No peak broadening, texture or thermal motion is included.

Lattice parameters (Å, degrees): 4.128 4.128 6.803 90.00 90.00 120.00
Fractional coordinates of all 5 atoms:
Mg 0.000 0.000 0.000
Al 0.333 0.667 0.633
Al 0.667 0.333 0.367
Ge 0.333 0.667 0.243
Ge 0.667 0.333 0.757

The 8 most intense peaks (5° ≤ 2θ ≤ 70°), most intense first:
2theta, intensity
28.2, 100
43.9, 73
36.5, 66
47.5, 54
24.9, 38
26.2, 31
51.8, 28
66.6, 19

[6]
Y3Ga: simulated X-ray diffraction stick pattern (Cu Kα, 1.54184 Å), based on DFT lattice parameters and positions (PBE).
No peak broadening, texture or thermal motion is included.

Lattice parameters (Å, degrees): 4.757 4.757 4.757 90.00 90.00 90.00
Fractional coordinates of all 4 atoms:
Y 0.000 0.000 0.500
Y 0.000 0.500 0.000
Y 0.500 0.000 0.000
Ga 0.500 0.500 0.500

The 7 most intense peaks (5° ≤ 2θ ≤ 70°), most intense first:
2theta, intensity
32.6, 100
37.8, 50
65.0, 39
54.6, 33
68.3, 11
18.7, 1
26.5, 1

[7]
TaTiAl6: simulated X-ray diffraction stick pattern (Cu Kα, 1.54184 Å), based on DFT lattice parameters and positions (PBE).
No peak broadening, texture or thermal motion is included.

Lattice parameters (Å, degrees): 3.846 3.846 8.642 90.00 90.00 90.00
Fractional coordinates of all 8 atoms:
Ta 0.000 0.000 0.000
Ti 0.500 0.500 0.500
Al 0.000 0.000 0.500
Al 0.000 0.500 0.251
Al 0.000 0.500 0.749
Al 0.500 0.000 0.251
Al 0.500 0.000 0.749
Al 0.500 0.500 0.000

The 8 most intense peaks (5° ≤ 2θ ≤ 70°), most intense first:
2theta, intensity
39.1, 100
10.2, 53
25.3, 51
47.3, 24
31.1, 22
20.6, 21
64.9, 18
23.1, 18

[8]
CeSe2: simulated X-ray diffraction stick pattern (Cu Kα, 1.54184 Å), based on DFT lattice parameters and positions (PBE).
No peak broadening, texture or thermal motion is included.

Lattice parameters (Å, degrees): 15.348 15.348 15.348 125.15 125.15 81.29
Fractional coordinates of all 48 atoms:
Ce 0.069 0.291 0.977
Ce 0.092 0.069 0.279
Ce 0.187 0.908 0.477
Ce 0.209 0.431 0.523
Ce 0.291 0.813 0.221
Ce 0.313 0.791 0.721
Ce 0.408 0.687 0.977
Ce 0.431 0.408 0.221
Ce 0.569 0.592 0.779
Ce 0.592 0.313 0.023
Ce 0.687 0.209 0.279
Ce 0.709 0.187 0.779
Ce 0.791 0.569 0.477
Ce 0.813 0.092 0.523
Ce 0.908 0.931 0.721
Ce 0.931 0.709 0.023
Se 0.005 0.255 0.750
Se 0.038 0.250 0.288
Se 0.096 0.654 0.998
Se 0.098 0.096 0.942
Se 0.154 0.596 0.498
Se 0.156 0.098 0.502
Se 0.245 0.495 0.750
Se 0.250 0.462 0.212
Se 0.250 0.962 0.712
Se 0.255 0.005 0.250
Se 0.344 0.846 0.942
Se 0.346 0.844 0.442
Se 0.402 0.344 0.998
Se 0.404 0.402 0.558
Se 0.462 0.750 0.212
Se 0.495 0.245 0.250
Se 0.505 0.755 0.750
Se 0.538 0.250 0.788
Se 0.596 0.598 0.442
Se 0.598 0.656 0.002
Se 0.654 0.156 0.558
Se 0.656 0.154 0.058
Se 0.745 0.995 0.750
Se 0.750 0.038 0.288
Se 0.750 0.538 0.788
Se 0.755 0.505 0.250
Se 0.844 0.902 0.498
Se 0.846 0.404 0.502
Se 0.902 0.904 0.058
Se 0.904 0.346 0.002
Se 0.962 0.750 0.712
Se 0.995 0.745 0.250

The 8 most intense peaks (5° ≤ 2θ ≤ 70°), most intense first:
2theta, intensity
23.5, 100
18.1, 98
11.7, 96
40.1, 73
29.8, 51
35.9, 38
21.3, 35
40.0, 27